Diffraction record for Rb4Cd5Au3. The powder diffractogram is simulated, not measured: it uses a crystal structure in Alexandria, relaxed with PBE and Cu Kα (λ = 1.5418 Å).
Neutral-atom scattering factors, no anomalous dispersion.

Main lines, in order of rising 2θ (2θ from 10° to 90°):
2theta  I (rel.)
15.11  1000
25.24  602
29.00  312
30.19  443
33.01  369
34.54  570
37.88  313
38.49  255
42.88  266
46.52  277

Atomic structure:
Cell lengths 10.752, 10.752, 8.285 Å; angles 100.42, 100.42, 27.95 degrees
Sites, in units of the cell vectors:
Rb  0.093  0.093  0.412
Rb  0.172  0.172  0.988
Rb  0.828  0.828  0.012
Rb  0.907  0.907  0.588
Cd  0.000  0.000  0.000
Cd  0.256  0.256  0.632
Cd  0.436  0.436  0.267
Cd  0.564  0.564  0.733
Cd  0.744  0.744  0.368
Au  0.307  0.307  0.332
Au  0.500  0.500  0.000
Au  0.693  0.693  0.668